[1]
Calculated XRD peak list
Compound: FeOF
Radiation: Cu Kα (λ = 1.5418 Å)
Structure: DFT lattice parameters and positions (GGA+U)
Lines closer than 0.1° are merged.

Main lines, by intensity (10° ≤ 2θ ≤ 80°):
- 34.60°, I = 100.0, hkl 0 1 3
- 26.49°, I = 92.3, hkl 2 0 -3
- 26.65°, I = 91.3, hkl 2 0 3
- 52.18°, I = 53.5, hkl 2 1 -6
- 52.36°, I = 53.0, hkl 2 1 6
- 66.38°, I = 35.5, hkl 0 1 9
- 66.52°, I = 22.3, hkl 2 2 3
- 39.56°, I = 18.6, hkl 2 1 -3
- 59.74°, I = 18.2, hkl 0 2 0
- 39.67°, I = 14.8, hkl 2 1 3

a b c (Å): 9.490 3.096 14.229
angles (deg): 90.00 90.34 90.00
Sites, in units of the cell vectors:
Fe 0.000 0.000 0.000
Fe 0.003 0.000 0.326
Fe 0.009 0.000 0.661
Fe 0.224 0.500 0.165
Fe 0.251 0.500 0.517
Fe 0.282 0.500 0.833
Fe 0.495 0.000 0.663
Fe 0.502 0.000 0.990
Fe 0.511 0.000 0.334
Fe 0.720 0.500 0.503
Fe 0.746 0.500 0.187
Fe 0.755 0.500 0.850
O 0.093 0.500 0.604
O 0.098 0.500 0.273
O 0.145 0.000 0.098
O 0.341 0.000 0.906
O 0.345 0.000 0.564
O 0.406 0.500 0.733
O 0.585 0.500 0.268
O 0.598 0.500 0.939
O 0.601 0.500 0.608
O 0.648 0.000 0.436
O 0.844 0.000 0.236
O 0.856 0.000 0.903
F 0.094 0.500 0.934
F 0.147 0.000 0.438
F 0.147 0.000 0.772
F 0.340 0.000 0.231
F 0.391 0.500 0.396
F 0.404 0.500 0.072
F 0.652 0.000 0.104
F 0.665 0.000 0.774
F 0.846 0.000 0.569
F 0.898 0.500 0.066
F 0.902 0.500 0.733
F 0.905 0.500 0.406

[2]
Calculated XRD peak list
Compound: MgTi2Mn4O12
Radiation: Cu Kα (λ = 1.5418 Å)
Structure: DFT lattice parameters and positions (GGA+U)
Lines closer than 0.1° are merged.

Main lines, by intensity (10° ≤ 2θ ≤ 80°):
- 17.34°, I = 100.0, hkl 0 0 2
- 36.81°, I = 9.5, hkl 2 1 -1
- 40.83°, I = 8.2, hkl 1 2 3
- 37.59°, I = 8.0, hkl -1 1 2
- 42.89°, I = 7.8, hkl 2 1 3
- 36.93°, I = 7.5, hkl 1 2 -1
- 63.15°, I = 7.5, hkl 3 0 1
- 39.88°, I = 7.4, hkl 1 -1 2
- 34.37°, I = 6.7, hkl 1 -1 0
- 34.57°, I = 6.4, hkl 1 2 1

a b c (Å): 5.115 5.229 10.322
angles (deg): 82.29 86.38 60.76
Sites, in units of the cell vectors:
Mg 0.000 0.000 0.000
Ti 0.038 0.762 0.731
Ti 0.552 0.260 0.277
Mn 0.203 0.944 0.261
Mn 0.362 0.080 0.761
Mn 0.697 0.416 0.757
Mn 0.865 0.613 0.254
O 0.034 0.360 0.856
O 0.070 0.081 0.651
O 0.183 0.668 0.158
O 0.197 0.256 0.346
O 0.312 0.768 0.863
O 0.365 0.430 0.665
O 0.531 0.589 0.350
O 0.532 0.967 0.164
O 0.687 0.779 0.669
O 0.705 0.056 0.855
O 0.872 0.948 0.365
O 0.876 0.252 0.150